(1)
For La3ZnCu2, a crystal structure in Alexandria, relaxed with PBE gives the calculated XRD peak list in this record (CuKα).

Crystal structure
Cell: 5.219 15.621 3.709 Å, 90.00 90.00 90.00°
Space group Cmmm (No. 65)
Inequivalent atoms, fractional coordinates:
1 La 0.000 0.000 0.000 [2 per cell]
2 La 0.000 0.328 0.000 [4 per cell]
3 Zn 0.000 0.500 0.500 [2 per cell]
4 Cu 0.000 0.159 0.500 [4 per cell]

Largest 8 diffraction maxima, low angle first, 10° ≤ 2θ ≤ 90°:
two_theta, I/Imax
24.14, 10
34.31, 100
34.45, 19
49.45, 14
61.35, 14
61.51, 14
61.61, 13
82.74, 8

***

(2)
For ErSc2AlS6, a crystal structure in Alexandria, relaxed with PBE gives the calculated XRD peak list in this record (CuKα).

Crystal structure
Cell: 6.4769 6.4769 17.5197 Å, 90.00 90.00 120.00°
Space group R3 (No. 146, hexagonal axes)
Inequivalent atoms, fractional coordinates:
1 Er 0.0000 0.0000 0.0000 [3 per cell]
2 Sc 0.0000 0.0000 0.2992 [3 per cell]
3 Sc 0.0000 0.0000 0.8031 [3 per cell]
4 Al 0.0000 0.0000 0.4941 [3 per cell]
5 S 0.0122 0.7137 0.4026 [9 per cell]
6 S 0.0205 0.3386 0.5626 [9 per cell]

Largest 8 diffraction maxima, low angle first, 10° ≤ 2θ ≤ 90°:
two_theta, I/Imax
16.59, 70
18.79, 80
25.81, 76
27.54, 49
31.59, 96
38.10, 41
41.65, 100
48.71, 62

***

(3)
For TmAg5Au4, a crystal structure in Alexandria, relaxed with PBE gives the calculated XRD peak list in this record (CuKα).

Crystal structure
Cell: 8.374 9.916 4.853 Å, 90.00 90.00 90.00°
Space group Pmmn (No. 59, origin choice 2)
Inequivalent atoms, fractional coordinates:
1 Tm 0.250 0.250 0.101 [2 per cell]
2 Ag 0.080 0.512 0.754 [8 per cell]
3 Ag 0.250 0.750 0.816 [2 per cell]
4 Au 0.022 0.250 0.579 [4 per cell]
5 Au 0.250 0.557 0.255 [4 per cell]

Largest 8 diffraction maxima, low angle first, 10° ≤ 2θ ≤ 90°:
two_theta, I/Imax
28.15, 39
29.04, 38
33.55, 57
36.24, 56
37.16, 65
39.38, 81
41.48, 100
46.48, 38

***

(4)
For Ca2Ag3F7, a crystal structure in Alexandria, relaxed with PBE gives the calculated XRD peak list in this record (CuKα).

Crystal structure
Cell: 21.373 5.921 6.174 Å, 90.00 90.00 90.00°
Space group Cmc2_1 (No. 36)
Inequivalent atoms, fractional coordinates:
1 Ca 0.101 0.249 0.000 [8 per cell]
2 Ag 0.000 0.276 0.445 [4 per cell]
3 Ag 0.205 0.227 0.567 [8 per cell]
4 F 0.000 0.118 0.056 [4 per cell]
5 F 0.072 0.454 0.707 [8 per cell]
6 F 0.135 0.047 0.292 [8 per cell]
7 F 0.198 0.392 0.921 [8 per cell]

Largest 8 diffraction maxima, low angle first, 10° ≤ 2θ ≤ 90°:
two_theta, I/Imax
24.29, 15
28.92, 19
29.56, 100
30.17, 30
34.64, 17
42.29, 34
48.55, 18
53.23, 24

***

(5)
For La2TbEr2Tm, a crystal structure in Alexandria, relaxed with PBE gives the calculated XRD peak list in this record (CuKα).

Crystal structure
Cell: 7.055 5.682 9.827 Å, 90.00 90.00 90.00°
Space group Pmma (No. 51)
Inequivalent atoms, fractional coordinates:
1 La 0.000 0.000 0.000 [2 per cell]
2 La 0.250 0.500 0.181 [2 per cell]
3 Tb 0.250 0.000 0.657 [2 per cell]
4 Er 0.250 0.000 0.335 [2 per cell]
5 Er 0.250 0.500 0.833 [2 per cell]
6 Tm 0.000 0.500 0.500 [2 per cell]

Largest 8 diffraction maxima, low angle first, 10° ≤ 2θ ≤ 90°:
two_theta, I/Imax
31.21, 91
31.51, 100
44.94, 33
55.92, 35
56.11, 19
61.94, 29
74.61, 15
79.89, 14

***

(6)
For SrMoPd, a crystal structure in Alexandria, relaxed with PBE gives the calculated XRD peak list in this record (CuKα).

Crystal structure
Cell: 11.580 3.453 8.312 Å, 90.00 120.14 90.00°
Space group C2/m (No. 12)
Inequivalent atoms, fractional coordinates:
1 Sr 0.073 0.000 0.291 [4 per cell]
2 Mo 0.214 0.500 0.065 [4 per cell]
3 Pd 0.131 0.500 0.659 [4 per cell]

Largest 8 diffraction maxima, low angle first, 10° ≤ 2θ ≤ 90°:
two_theta, I/Imax
15.69, 69
31.38, 46
33.94, 100
34.88, 63
36.65, 48
37.45, 76
37.53, 34
43.87, 30

***

(7)
For Ho4ThGe4, a crystal structure in Alexandria, relaxed with PBE gives the calculated XRD peak list in this record (CuKα).

Crystal structure
Cell: 9.283 9.283 5.778 Å, 90.00 90.00 90.00°
Space group I4/m (No. 87)
Inequivalent atoms, fractional coordinates:
1 Ho 0.103 0.692 0.000 [8 per cell]
2 Th 0.000 0.000 0.500 [2 per cell]
3 Ge 0.106 0.700 0.500 [8 per cell]

Largest 8 diffraction maxima, low angle first, 10° ≤ 2θ ≤ 90°:
two_theta, I/Imax
26.44, 70
30.45, 100
30.95, 48
43.60, 37
43.97, 74
51.72, 22
54.43, 39
80.33, 25

***

(8)
For BaB12H12, a crystal structure in Alexandria, relaxed with PBE gives the calculated XRD peak list in this record (CuKα).

Crystal structure
Cell: 7.3074 7.3074 11.8370 Å, 90.00 90.00 120.00°
Space group P31c (No. 159)
Inequivalent atoms, fractional coordinates:
1 Ba 0.3333 0.6667 0.0000 [2 per cell]
2 B 0.0850 0.4712 0.6525 [6 per cell]
3 B 0.1366 0.7193 0.5981 [6 per cell]
4 B 0.1797 0.5451 0.5119 [6 per cell]
5 B 0.2125 0.7004 0.7386 [6 per cell]
6 H 0.0021 0.7602 0.0782 [6 per cell]
7 H 0.0740 0.4578 0.4299 [6 per cell]
8 H 0.0909 0.4228 0.1754 [6 per cell]
9 H 0.1251 0.7257 0.8185 [6 per cell]

Largest 8 diffraction maxima, low angle first, 10° ≤ 2θ ≤ 90°:
two_theta, I/Imax
13.99, 100
14.97, 57
15.88, 96
24.36, 44
26.62, 47
28.71, 57
29.21, 43
38.39, 50

***

(9)
For DyTm3Ga4, a crystal structure in Alexandria, relaxed with PBE gives the calculated XRD peak list in this record (CuKα).

Crystal structure
Cell: 10.020 7.046 5.010 Å, 90.00 90.00 90.00°
Space group Pmma (No. 51)
Inequivalent atoms, fractional coordinates:
1 Dy 0.000 0.000 0.000 [2 per cell]
2 Tm 0.000 0.500 0.000 [2 per cell]
3 Tm 0.250 0.000 0.498 [2 per cell]
4 Tm 0.250 0.500 0.497 [2 per cell]
5 Ga 0.000 0.253 0.500 [4 per cell]
6 Ga 0.250 0.253 0.997 [4 per cell]

Largest 8 diffraction maxima, low angle first, 10° ≤ 2θ ≤ 90°:
two_theta, I/Imax
25.14, 19
35.85, 50
35.95, 100
51.60, 18
64.49, 36
64.69, 18
76.22, 11
86.99, 16

***

(10)
For La2Zn9Cu6, a crystal structure in Alexandria, relaxed with PBE gives the calculated XRD peak list in this record (CuKα).

Crystal structure
Cell: 5.3063 5.3063 12.4745 Å, 90.00 90.00 120.00°
Space group P6/mmm (No. 191)
Inequivalent atoms, fractional coordinates:
1 La 0.0000 0.0000 0.1683 [2 per cell]
2 Zn 0.0000 0.5000 0.0000 [3 per cell]
3 Zn 0.0000 0.5000 0.3395 [6 per cell]
4 Cu 0.3333 0.6667 0.1713 [4 per cell]
5 Cu 0.3333 0.6667 0.5000 [2 per cell]

Largest 8 diffraction maxima, low angle first, 10° ≤ 2θ ≤ 90°:
two_theta, I/Imax
28.96, 23
33.78, 23
39.21, 34
40.32, 100
43.53, 28
45.08, 29
64.87, 23
87.16, 21

***

(11)
For Pm6TlCl8, a crystal structure in Alexandria, relaxed with PBE gives the calculated XRD peak list in this record (CuKα).

Crystal structure
Cell: 6.9277 6.9277 31.9346 Å, 90.00 90.00 120.00°
Space group R-3 (No. 148, hexagonal axes)
Inequivalent atoms, fractional coordinates:
1 Pm 0.0006 0.6499 0.4438 [18 per cell]
2 Tl 0.0000 0.0000 0.5000 [3 per cell]
3 Cl 0.0000 0.0000 0.1665 [6 per cell]
4 Cl 0.0007 0.6839 0.6096 [18 per cell]

Largest 8 diffraction maxima, low angle first, 10° ≤ 2θ ≤ 90°:
two_theta, I/Imax
27.07, 37
30.80, 100
36.24, 25
42.85, 40
45.35, 31
55.82, 17
71.02, 16
74.66, 13